The following is a theoretical X-ray diffraction stick pattern of La2ErPuBi4. It was derived from the GGA-PBE geometry in Alexandria, using Cu Kα (weighted mean of Kα1 and Kα2).

Crystal structure
a b c (Å): 7.9523 4.6132 7.9774
angles (deg): 90.00 109.50 90.00
Space group P2/m (No. 10)
Inequivalent atoms, fractional coordinates:
1 La 0.0000 0.0000 0.0000 (multiplicity 1)
2 La 0.0000 0.5000 0.5000 (multiplicity 1)
3 Er 0.5000 0.0000 0.5000 (multiplicity 1)
4 Pu 0.5000 0.5000 0.0000 (multiplicity 1)
5 Bi 0.2624 0.0000 0.7520 (multiplicity 2)
6 Bi 0.2636 0.5000 0.2567 (multiplicity 2)

Peak list (6 most intense, 10° ≤ 2θ ≤ 90°, by angle)
d/Å, I_rel, h k l
3.255, 100, 1 1 1
2.305, 40, 0 2 0
2.298, 39, 2 0 2
1.881, 22, 0 0 4
1.627, 14, 2 2 2
1.455, 18, 3 1 -5

=====

The following is a theoretical X-ray diffraction stick pattern of LaErBiSb. It was derived from the GGA-PBE geometry in Alexandria, using Cu Kα (weighted mean of Kα1 and Kα2).

Crystal structure
a b c (Å): 4.5416 4.5416 22.1242
angles (deg): 90.00 90.00 120.00
Space group R3m (No. 160, hexagonal axes)
Inequivalent atoms, fractional coordinates:
1 La 0.0000 0.0000 0.0000 (multiplicity 3)
2 Er 0.0000 0.0000 0.4962 (multiplicity 3)
3 Bi 0.0000 0.0000 0.2430 (multiplicity 3)
4 Sb 0.0000 0.0000 0.7532 (multiplicity 3)

Peak list (6 most intense, 10° ≤ 2θ ≤ 90°, by angle)
d/Å, I_rel, h k l
3.205, 100, 1 0 4
2.271, 39, 1 1 0
2.262, 38, 0 1 8
1.853, 21, 0 2 4
1.436, 18, 2 1 4
1.431, 17, 1 1 12

=====

The following is a theoretical X-ray diffraction stick pattern of LaEr2TmBi4. It was derived from the GGA-PBE geometry in Alexandria, using Cu Kα (weighted mean of Kα1 and Kα2).

Crystal structure
a b c (Å): 6.3902 6.3902 12.7472
angles (deg): 90.00 90.00 90.00
Space group I4/mmm (No. 139)
Inequivalent atoms, fractional coordinates:
1 La 0.0000 0.0000 0.0000 (multiplicity 2)
2 Er 0.0000 0.5000 0.2500 (multiplicity 4)
3 Tm 0.0000 0.0000 0.5000 (multiplicity 2)
4 Bi 0.0000 0.0000 0.2560 (multiplicity 4)
5 Bi 0.0000 0.5000 0.0000 (multiplicity 4)

Peak list (6 most intense, 10° ≤ 2θ ≤ 90°, by angle)
d/Å, I_rel, h k l
3.192, 100, 2 0 0
2.257, 78, 2 2 0
1.843, 28, 2 2 4
1.429, 25, 4 2 0
1.426, 12, 2 0 8
1.304, 19, 4 2 4

=====

The following is a theoretical X-ray diffraction stick pattern of Li2Pm2ErBi2. It was derived from the GGA-PBE geometry in Alexandria, using Cu Kα (weighted mean of Kα1 and Kα2).

Crystal structure
a b c (Å): 4.9220 4.9220 26.7696
angles (deg): 90.00 90.00 120.00
Space group R-3m (No. 166, hexagonal axes)
Inequivalent atoms, fractional coordinates:
1 Li 0.0000 0.0000 0.0971 (multiplicity 6)
2 Pm 0.0000 0.0000 0.3708 (multiplicity 6)
3 Er 0.0000 0.0000 0.5000 (multiplicity 3)
4 Bi 0.0000 0.0000 0.2313 (multiplicity 6)

Peak list (6 most intense, 10° ≤ 2θ ≤ 90°, by angle)
d/Å, I_rel, h k l
4.210, 50, 1 0 1
2.847, 97, 1 0 7
2.632, 75, 0 1 8
2.461, 100, 1 1 0
1.862, 29, 0 2 7
1.445, 36, 1 1 15

=====

The following is a theoretical X-ray diffraction stick pattern of Sr2Li3ErBi4. It was derived from the GGA-PBE geometry in Alexandria, using Cu Kα (weighted mean of Kα1 and Kα2).

Crystal structure
a b c (Å): 4.9490 4.9490 12.0331
angles (deg): 90.00 90.00 90.00
Space group P-4m2 (No. 115)
Inequivalent atoms, fractional coordinates:
1 Sr 0.0000 0.5000 0.2217 (multiplicity 2)
2 Li 0.0000 0.5000 0.8792 (multiplicity 2)
3 Li 0.5000 0.5000 0.5000 (multiplicity 1)
4 Er 0.0000 0.0000 0.5000 (multiplicity 1)
5 Bi 0.0000 0.0000 0.0000 (multiplicity 1)
6 Bi 0.0000 0.5000 0.6493 (multiplicity 2)
7 Bi 0.5000 0.5000 0.0000 (multiplicity 1)

Peak list (6 most intense, 10° ≤ 2θ ≤ 90°, by angle)
d/Å, I_rel, h k l
3.822, 52, 1 0 2
3.360, 34, 1 1 1
3.025, 100, 1 1 2
2.474, 54, 2 0 0
2.281, 39, 1 1 4
1.514, 28, 3 1 2

=====

The following is a theoretical X-ray diffraction stick pattern of Er5Bi4N. It was derived from the GGA-PBE geometry in Alexandria, using Cu Kα (weighted mean of Kα1 and Kα2).

Crystal structure
a b c (Å): 9.4323 9.4323 6.2529
angles (deg): 90.00 90.00 90.00
Space group I4 (No. 79)
Inequivalent atoms, fractional coordinates:
1 Er 0.0000 0.0000 0.0000 (multiplicity 2)
2 Er 0.0966 0.2475 0.4152 (multiplicity 8)
3 Bi 0.0812 0.3106 0.9117 (multiplicity 8)
4 N 0.0000 0.0000 0.3576 (multiplicity 2)

Peak list (6 most intense, 10° ≤ 2θ ≤ 90°, by angle)
d/Å, I_rel, h k l
3.126, 59, 0 0 2
2.983, 100, 1 3 0
2.809, 28, 3 0 1
2.413, 26, 3 2 1
2.158, 78, 1 3 2
2.109, 26, 4 2 0

=====

The following is a theoretical X-ray diffraction stick pattern of Er3BiN. It was derived from the GGA-PBE geometry in Alexandria, using Cu Kα (weighted mean of Kα1 and Kα2).

Crystal structure
a b c (Å): 12.0479 6.5407 8.5211
angles (deg): 90.00 133.06 90.00
Space group C2/m (No. 12)
Inequivalent atoms, fractional coordinates:
1 Er 0.0451 0.0000 0.3239 (multiplicity 4)
2 Er 0.2261 0.2491 0.1641 (multiplicity 8)
3 Bi 0.0835 0.5000 0.3437 (multiplicity 4)
4 N 0.2035 0.0000 0.9494 (multiplicity 4)

Peak list (6 most intense, 10° ≤ 2θ ≤ 90°, by angle)
d/Å, I_rel, h k l
3.010, 65, 4 0 -2
2.895, 43, 0 2 1
2.803, 61, 2 0 1
2.729, 49, 2 0 -3
2.625, 83, 2 2 0
2.594, 100, 2 2 -2

=====

The following is a theoretical X-ray diffraction stick pattern of Er4Bi3N. It was derived from the GGA-PBE geometry in Alexandria, using Cu Kα (weighted mean of Kα1 and Kα2).

Crystal structure
a b c (Å): 9.6854 8.5772 6.2545
angles (deg): 90.00 90.00 90.00
Space group Pmn2_1 (No. 31)
Inequivalent atoms, fractional coordinates:
1 Er 0.0000 0.0858 0.0000 (multiplicity 2)
2 Er 0.0000 0.8196 0.5706 (multiplicity 2)
3 Er 0.2009 0.7000 0.0032 (multiplicity 4)
4 Bi 0.0000 0.1616 0.4892 (multiplicity 2)
5 Bi 0.2310 0.3396 0.9913 (multiplicity 4)
6 N 0.0000 0.8238 0.9275 (multiplicity 2)

Peak list (6 most intense, 10° ≤ 2θ ≤ 90°, by angle)
d/Å, I_rel, h k l
4.289, 44, 0 2 0
4.217, 100, 2 1 0
3.127, 92, 0 0 2
2.512, 78, 2 1 2
2.462, 65, 2 3 0
1.934, 56, 2 3 2

=====

The following is a theoretical X-ray diffraction stick pattern of Tb2ErBi2N2. It was derived from the GGA-PBE geometry in Alexandria, using Cu Kα (weighted mean of Kα1 and Kα2).

Crystal structure
a b c (Å): 4.4594 4.4594 15.8325
angles (deg): 90.00 90.00 90.00
Space group I4/mmm (No. 139)
Inequivalent atoms, fractional coordinates:
1 Tb 0.0000 0.0000 0.0916 (multiplicity 4)
2 Er 0.0000 0.0000 0.5000 (multiplicity 2)
3 Bi 0.0000 0.0000 0.2874 (multiplicity 4)
4 N 0.0000 0.5000 0.0000 (multiplicity 4)

Peak list (6 most intense, 10° ≤ 2θ ≤ 90°, by angle)
d/Å, I_rel, h k l
3.153, 88, 1 1 0
2.582, 100, 1 0 5
2.230, 39, 2 0 0
1.688, 57, 2 1 5
1.410, 17, 3 1 0
1.152, 17, 3 2 5

=====

The following is a theoretical X-ray diffraction stick pattern of NdEr4Bi5. It was derived from the GGA-PBE geometry in Alexandria, using Cu Kα (weighted mean of Kα1 and Kα2).

Crystal structure
a b c (Å): 4.4792 6.3394 22.3900
angles (deg): 90.00 90.00 90.00
Space group Immm (No. 71)
Inequivalent atoms, fractional coordinates:
1 Nd 0.0000 0.0000 0.0000 (multiplicity 2)
2 Er 0.0000 0.0000 0.2022 (multiplicity 4)
3 Er 0.0000 0.0000 0.4000 (multiplicity 4)
4 Bi 0.0000 0.5000 0.0000 (multiplicity 2)
5 Bi 0.0000 0.5000 0.1991 (multiplicity 4)
6 Bi 0.0000 0.5000 0.3958 (multiplicity 4)

Peak list (6 most intense, 10° ≤ 2θ ≤ 90°, by angle)
d/Å, I_rel, h k l
3.168, 100, 0 2 0
2.240, 78, 2 0 0
1.829, 28, 2 2 0
1.584, 13, 0 4 0
1.417, 37, 3 0 5
1.293, 27, 2 4 0

=====

The following is a theoretical X-ray diffraction stick pattern of PmNd2ErBi4. It was derived from the GGA-PBE geometry in Alexandria, using Cu Kα (weighted mean of Kα1 and Kα2).

Crystal structure
a b c (Å): 7.8998 4.5660 7.9024
angles (deg): 90.00 109.49 90.00
Space group P2/m (No. 10)
Inequivalent atoms, fractional coordinates:
1 Pm 0.0000 0.0000 0.0000 (multiplicity 1)
2 Nd 0.5000 0.0000 0.5000 (multiplicity 1)
3 Nd 0.5000 0.5000 0.0000 (multiplicity 1)
4 Er 0.0000 0.5000 0.5000 (multiplicity 1)
5 Bi 0.2421 0.0000 0.7434 (multiplicity 2)
6 Bi 0.2450 0.5000 0.2524 (multiplicity 2)

Peak list (6 most intense, 10° ≤ 2θ ≤ 90°, by angle)
d/Å, I_rel, h k l
3.226, 100, 1 1 1
2.281, 78, 0 2 0
1.863, 29, 2 2 -2
1.613, 14, 2 2 2
1.443, 37, 1 3 1
1.317, 28, 1 3 -3

=====

The following is a theoretical X-ray diffraction stick pattern of Er4Ni2Bi. It was derived from the GGA-PBE geometry in Alexandria, using Cu Kα (weighted mean of Kα1 and Kα2).

Crystal structure
a b c (Å): 8.4718 14.8236 6.7733
angles (deg): 90.00 128.17 90.00
Space group Cc (No. 9)
Inequivalent atoms, fractional coordinates:
1 Er 0.0000 0.0036 0.0000 (multiplicity 4)
2 Er 0.0015 0.4161 0.3317 (multiplicity 4)
3 Er 0.0770 0.2182 0.6480 (multiplicity 4)
4 Er 0.2239 0.2097 0.2723 (multiplicity 4)
5 Ni 0.2869 0.0814 0.9980 (multiplicity 4)
6 Ni 0.3729 0.3331 0.6702 (multiplicity 4)
7 Bi 0.1571 0.3885 0.9700 (multiplicity 4)

Peak list (6 most intense, 10° ≤ 2θ ≤ 90°, by angle)
d/Å, I_rel, h k l
3.039, 42, 2 2 0
2.736, 56, 1 3 1
2.708, 100, 1 5 0
2.690, 48, 3 1 -1
2.678, 52, 3 1 -2
2.464, 71, 2 4 -2